No. 1
This entry pairs a crystal structure of Sc3NF10 with its theoretical X-ray powder pattern. Radiation: a wavelength of 1.5418 Å. Structure: a structure optimized by DFT (PBE).

Crystal structure
Lattice parameters (Å, degrees): 7.9742 8.1394 6.6814 90.00 90.00 90.00
Sites, in units of the cell vectors:
Sc1 0.0000 0.0000 0.0000
Sc2 0.0000 0.2454 0.5000
Sc3 0.0000 0.7546 0.5000
Sc4 0.5000 0.0000 0.0000
Sc5 0.5000 0.2454 0.5000
Sc6 0.5000 0.7546 0.5000
N1 0.2500 0.5000 0.2182
N2 0.7500 0.5000 0.7818
F1 0.0000 0.0000 0.5000
F2 0.0277 0.1871 0.2050
F3 0.0277 0.8129 0.2050
F4 0.0980 0.5000 0.3664
F5 0.2500 0.0000 0.9514
F6 0.2500 0.2524 0.5576
F7 0.2500 0.7476 0.5576
F8 0.4020 0.5000 0.3664
F9 0.4723 0.1871 0.2050
F10 0.4723 0.8129 0.2050
F11 0.5000 0.0000 0.5000
F12 0.5277 0.1871 0.7950
F13 0.5277 0.8129 0.7950
F14 0.5980 0.5000 0.6336
F15 0.7500 0.0000 0.0486
F16 0.7500 0.2524 0.4424
F17 0.7500 0.7476 0.4424
F18 0.9020 0.5000 0.6336
F19 0.9723 0.1871 0.7950
F20 0.9723 0.8129 0.7950

Peak list (6 most intense, 2θ from 10° to 80°, low angle first)
d 8.139, rel. 75; d 6.681, rel. 89; d 5.164, rel. 75; d 3.987, rel. 100; d 3.476, rel. 84; d 1.954, rel. 37



No. 2
This entry pairs a crystal structure of ScN3F6 with its theoretical X-ray powder pattern. Radiation: a wavelength of 1.5418 Å. Structure: a structure optimized by DFT (PBE).

Crystal structure
Lattice parameters (Å, degrees): 6.3068 6.3068 7.2158 123.71 123.71 70.17
Sites, in units of the cell vectors:
Sc1 0.0000 0.0000 0.0000
N1 0.2779 0.7417 0.4189
N2 0.4892 0.4892 0.8788
N3 0.7417 0.2779 0.4189
F1 0.2114 0.2114 0.3378
F2 0.2167 0.7653 0.8367
F3 0.3422 0.3422 0.8407
F4 0.6198 0.6198 0.1320
F5 0.7653 0.2167 0.8367
F6 0.8048 0.8048 0.9685

Peak list (6 most intense, 2θ from 10° to 80°, low angle first)
d 5.302, rel. 98; d 5.154, rel. 100; d 3.792, rel. 45; d 2.993, rel. 61; d 2.965, rel. 45; d 2.557, rel. 52



No. 3
This entry pairs a crystal structure of SmNF3 with its theoretical X-ray powder pattern. Radiation: a wavelength of 1.5418 Å. Structure: a structure optimized by DFT (PBE).

Crystal structure
Lattice parameters (Å, degrees): 4.5000 7.2497 6.5544 90.00 105.11 90.00
Sites, in units of the cell vectors:
Sm1 0.0298 0.2500 0.0623
Sm2 0.9702 0.7500 0.9377
N1 0.3334 0.2500 0.5298
N2 0.6666 0.7500 0.4702
F1 0.0745 0.5406 0.2042
F2 0.0745 0.9594 0.2042
F3 0.4590 0.7500 0.9071
F4 0.5410 0.2500 0.0929
F5 0.9255 0.0406 0.7958
F6 0.9255 0.4594 0.7958

Peak list (6 most intense, 2θ from 10° to 80°, low angle first)
d 6.328, rel. 100; d 4.344, rel. 45; d 4.117, rel. 41; d 3.625, rel. 26; d 3.145, rel. 28; d 2.900, rel. 20



No. 4
This entry pairs a crystal structure of SnNF with its theoretical X-ray powder pattern. Radiation: a wavelength of 1.5418 Å. Structure: a structure optimized by DFT (PBE).

Crystal structure
Lattice parameters (Å, degrees): 4.1337 3.8725 5.6128 90.00 111.13 90.00
Sites, in units of the cell vectors:
Sn1 0.1699 0.0000 0.3373
Sn2 0.8301 0.5000 0.6627
N1 0.2659 0.4996 0.5321
N2 0.7341 0.9996 0.4679
F1 0.1953 0.7564 0.9981
F2 0.8047 0.2564 0.0019

Peak list (6 most intense, 2θ from 10° to 80°, low angle first)
d 5.235, rel. 46; d 3.113, rel. 91; d 2.729, rel. 100; d 2.678, rel. 33; d 2.656, rel. 32; d 2.169, rel. 38



No. 5
This entry pairs a crystal structure of SrNF5 with its theoretical X-ray powder pattern. Radiation: a wavelength of 1.5418 Å. Structure: a structure optimized by DFT (PBE).

Crystal structure
Lattice parameters (Å, degrees): 5.7249 5.7249 5.7249 109.31 85.93 137.76
Sites, in units of the cell vectors:
Sr1 0.0000 0.0000 0.0000
N1 0.5298 0.0298 0.5000
F1 0.2675 0.9842 0.2833
F2 0.4956 0.2837 0.7881
F3 0.4956 0.7075 0.2119
F4 0.7009 0.9842 0.7167
F5 0.8533 0.3533 0.5000

Peak list (6 most intense, 2θ from 10° to 80°, low angle first)
d 5.196, rel. 47; d 4.189, rel. 85; d 3.502, rel. 100; d 3.312, rel. 47; d 2.468, rel. 69; d 1.896, rel. 47



No. 6
This entry pairs a crystal structure of Sr5TiN4F2 with its theoretical X-ray powder pattern. Radiation: a wavelength of 1.5418 Å. Structure: a structure optimized by DFT (PBE).

Crystal structure
Lattice parameters (Å, degrees): 7.3964 5.8549 5.8549 117.55 90.00 90.00
Sites, in units of the cell vectors:
Sr1 0.0000 0.0000 0.0000
Sr2 0.2816 0.3052 0.6704
Sr3 0.2816 0.6704 0.3052
Sr4 0.7184 0.3052 0.6704
Sr5 0.7184 0.6704 0.3052
Ti1 0.5000 0.0079 0.0079
N1 0.2828 0.2009 0.2009
N2 0.5000 0.6571 0.9714
N3 0.5000 0.9714 0.6571
N4 0.7172 0.2009 0.2009
F1 0.0000 0.5543 0.9590
F2 0.0000 0.9590 0.5543

Peak list (6 most intense, 2θ from 10° to 80°, low angle first)
d 3.035, rel. 41; d 3.012, rel. 73; d 2.975, rel. 37; d 2.925, rel. 100; d 2.124, rel. 59; d 1.691, rel. 30



No. 7
This entry pairs a crystal structure of TaNF6 with its theoretical X-ray powder pattern. Radiation: a wavelength of 1.5418 Å. Structure: a structure optimized by DFT (PBE).

Crystal structure
Lattice parameters (Å, degrees): 5.3283 5.4229 5.6498 77.38 66.08 61.11
Sites, in units of the cell vectors:
Ta1 0.0000 0.0000 0.0000
N1 0.0000 0.5000 0.5000
F1 0.1107 0.2972 0.7671
F2 0.1991 0.0033 0.2115
F3 0.3719 0.7146 0.7967
F4 0.6281 0.2854 0.2033
F5 0.8009 0.9967 0.7885
F6 0.8893 0.7028 0.2329

Peak list (6 most intense, 2θ from 10° to 80°, low angle first)
d 5.162, rel. 100; d 4.746, rel. 77; d 4.368, rel. 84; d 4.298, rel. 56; d 4.145, rel. 72; d 4.124, rel. 52



No. 8
This entry pairs a crystal structure of TbN2F4 with its theoretical X-ray powder pattern. Radiation: a wavelength of 1.5418 Å. Structure: a structure optimized by DFT (PBE).

Crystal structure
Lattice parameters (Å, degrees): 3.6233 4.3979 8.0740 86.41 87.71 89.99
Sites, in units of the cell vectors:
Tb1 0.0000 0.0000 0.0000
N1 0.0198 0.5994 0.5382
N2 0.9802 0.4006 0.4618
F1 0.0116 0.5167 0.8783
F2 0.4855 0.9752 0.1608
F3 0.5145 0.0248 0.8392
F4 0.9884 0.4833 0.1217

Peak list (6 most intense, 2θ from 10° to 80°, low angle first)
d 8.052, rel. 100; d 4.389, rel. 14; d 4.026, rel. 18; d 3.959, rel. 18; d 3.756, rel. 17; d 3.620, rel. 18



No. 9
This entry pairs a crystal structure of TeN2F5 with its theoretical X-ray powder pattern. Radiation: a wavelength of 1.5418 Å. Structure: a structure optimized by DFT (PBE).

Crystal structure
Lattice parameters (Å, degrees): 6.4066 6.4066 4.6941 111.50 111.50 90.85
Sites, in units of the cell vectors:
Te1 0.0000 0.0000 0.0000
N1 0.4239 0.4239 0.9525
N2 0.5687 0.5687 0.0843
F1 0.0271 0.3262 0.1934
F2 0.3262 0.0271 0.1934
F3 0.6740 0.9720 0.8287
F4 0.9720 0.6740 0.8287
F5 0.9957 0.9957 0.3989

Peak list (6 most intense, 2θ from 10° to 80°, low angle first)
d 5.872, rel. 100; d 4.564, rel. 33; d 4.174, rel. 37; d 4.004, rel. 63; d 3.010, rel. 31; d 2.936, rel. 30



No. 10
This entry pairs a crystal structure of ThNF with its theoretical X-ray powder pattern. Radiation: a wavelength of 1.5418 Å. Structure: a structure optimized by DFT (PBE).

Crystal structure
Lattice parameters (Å, degrees): 4.0649 4.0649 5.8953 90.00 90.00 90.00
Sites, in units of the cell vectors:
Th1 0.2500 0.2500 0.2008
Th2 0.7500 0.7500 0.7992
N1 0.2500 0.7500 0.0000
N2 0.7500 0.2500 0.0000
F1 0.2500 0.7500 0.5000
F2 0.7500 0.2500 0.5000

Peak list (6 most intense, 2θ from 10° to 80°, low angle first)
d 3.347, rel. 100; d 2.874, rel. 27; d 2.386, rel. 15; d 2.058, rel. 27; d 2.032, rel. 18; d 1.737, rel. 32



No. 11
This entry pairs a crystal structure of TlNF4 with its theoretical X-ray powder pattern. Radiation: a wavelength of 1.5418 Å. Structure: a structure optimized by DFT (PBE).

Crystal structure
Lattice parameters (Å, degrees): 15.2414 4.8706 6.2472 90.00 90.00 90.00
Sites, in units of the cell vectors:
Tl1 0.2064 0.2500 0.2393
Tl2 0.2936 0.7500 0.7393
Tl3 0.7064 0.2500 0.2607
Tl4 0.7936 0.7500 0.7607
N1 0.0497 0.2500 0.6772
N2 0.4503 0.7500 0.1772
N3 0.5497 0.2500 0.8228
N4 0.9503 0.7500 0.3228
F1 0.0443 0.7500 0.3207
F2 0.0680 0.0266 0.8114
F3 0.0680 0.4734 0.8114
F4 0.2438 0.2500 0.6250
F5 0.2562 0.7500 0.1250
F6 0.4320 0.5266 0.3114
F7 0.4320 0.9734 0.3114
F8 0.4557 0.2500 0.8207
F9 0.5443 0.7500 0.1793
F10 0.5680 0.0266 0.6886
F11 0.5680 0.4734 0.6886
F12 0.7438 0.2500 0.8750
F13 0.7562 0.7500 0.3750
F14 0.9320 0.5266 0.1886
F15 0.9320 0.9734 0.1886
F16 0.9557 0.2500 0.6793

Peak list (6 most intense, 2θ from 10° to 80°, low angle first)
d 7.621, rel. 77; d 3.841, rel. 40; d 3.430, rel. 100; d 3.253, rel. 55; d 3.124, rel. 35; d 3.001, rel. 33



No. 12
This entry pairs a crystal structure of Tl2N2F5 with its theoretical X-ray powder pattern. Radiation: a wavelength of 1.5418 Å. Structure: a structure optimized by DFT (PBE).

Crystal structure
Lattice parameters (Å, degrees): 8.0684 6.7417 6.5310 74.86 53.76 51.38
Sites, in units of the cell vectors:
Tl1 0.1987 0.8013 0.1987
Tl2 0.8013 0.1987 0.8013
N1 0.3371 0.3371 0.6629
N2 0.6629 0.6629 0.3371
F1 0.0000 0.0000 0.0000
F2 0.1170 0.1170 0.3830
F3 0.3830 0.3830 0.1170
F4 0.6170 0.6170 0.8830
F5 0.8830 0.8830 0.6170

Peak list (6 most intense, 2θ from 10° to 80°, low angle first)
d 5.826, rel. 100; d 5.581, rel. 65; d 5.190, rel. 31; d 4.030, rel. 51; d 3.141, rel. 56; d 2.931, rel. 36